# 1
The following is a computed powder diffractogram of GaHg3Pd4. It was derived from DFT lattice parameters and positions (GGA-PBE), using Cu Kα, 1.54184 Å.
Lines closer than 0.1° are merged.

Main lines, in order of rising 2θ (10 to 80 degrees two-theta):
24.0°, I = 5; 29.2°, I = 5; 34.5°, I = 11; 38.2°, I = 100; 41.8°, I = 43; 42.8°, I = 5; 49.2°, I = 9; 60.6°, I = 14; 61.3°, I = 7; 66.5°, I = 15; 73.9°, I = 29; 77.5°, I = 7

Crystal structure
```
GaHg3Pd4
1.0
3.057 0.000 0.000
0.000 3.057 0.000
0.000 0.000 14.806
Ga Hg Pd
1 3 4
direct
0.000 0.000 0.000 Ga
0.000 0.000 0.240 Hg
0.000 0.000 0.500 Hg
0.000 0.000 0.760 Hg
0.500 0.500 0.101 Pd
0.500 0.500 0.370 Pd
0.500 0.500 0.630 Pd
0.500 0.500 0.899 Pd
```

=====

# 2
The following is a computed powder diffractogram of GaHgPd14. It was derived from DFT lattice parameters and positions (GGA-PBE), using Cu Kα, 1.54184 Å.
Lines closer than 0.1° are merged.

Main lines, in order of rising 2θ (10 to 80 degrees two-theta):
38.0°, I = 41; 38.9°, I = 24; 39.4°, I = 50; 41.8°, I = 100; 42.6°, I = 37; 47.6°, I = 21; 48.3°, I = 13; 63.4°, I = 9; 65.4°, I = 11; 67.2°, I = 20; 73.0°, I = 19; 79.1°, I = 13

Crystal structure
```
GaHgPd14
1.0
9.155 0.000 0.000
0.000 2.853 4.791
0.000 -2.853 4.791
Ga Hg Pd
1 1 14
direct
0.000 0.000 0.000 Ga
0.000 0.499 0.499 Hg
0.000 0.001 0.499 Pd
0.000 0.499 0.001 Pd
0.247 0.828 0.828 Pd
0.248 0.322 0.832 Pd
0.248 0.832 0.322 Pd
0.254 0.327 0.327 Pd
0.500 0.154 0.658 Pd
0.500 0.156 0.156 Pd
0.500 0.655 0.655 Pd
0.500 0.658 0.154 Pd
0.746 0.327 0.327 Pd
0.752 0.322 0.832 Pd
0.752 0.832 0.322 Pd
0.753 0.828 0.828 Pd
```

=====

# 3
The following is a computed powder diffractogram of Ga2HgPd8. It was derived from DFT lattice parameters and positions (GGA-PBE), using Cu Kα, 1.54184 Å.
Lines closer than 0.1° are merged.

Main lines, in order of rising 2θ (10 to 80 degrees two-theta):
29.1°, I = 15; 33.3°, I = 26; 36.2°, I = 13; 37.8°, I = 25; 39.3°, I = 45; 39.6°, I = 34; 40.4°, I = 100; 41.4°, I = 43; 43.3°, I = 55; 46.7°, I = 12; 58.4°, I = 14; 69.9°, I = 13

Crystal structure
```
Ga2HgPd8
1.0
3.578 -6.543 0.000
3.578 6.543 0.000
-2.609 0.000 3.803
Ga Hg Pd
2 1 8
direct
0.161 0.839 0.000 Ga
0.839 0.161 0.000 Ga
0.469 0.469 0.938 Hg
0.018 0.407 0.710 Pd
0.033 0.033 0.370 Pd
0.304 0.563 0.415 Pd
0.407 0.018 0.710 Pd
0.563 0.304 0.415 Pd
0.565 0.909 0.222 Pd
0.795 0.795 0.665 Pd
0.909 0.565 0.222 Pd
```

=====

> Number 2 is which compound?

GaHgPd14